1.
Diffraction record for Rb3AcO3. The X-ray diffraction stick pattern is calculated, not measured: it uses the GGA-PBE geometry in Alexandria and a wavelength of 1.5418 Å.
No peak broadening, texture or thermal motion is included.

The 6 most intense peaks (2θ = 15–90°), in order of rising 2θ:
2theta	I_rel
26.69	100.0
27.79	87.6
29.93	43.5
32.35	98.9
44.65	54.7
53.72	32.1

Atomic structure:
Cell: 8.1471 8.1471 8.1471 Å, 124.28 120.72 85.75°
Sites, in units of the cell vectors:
Rb 0.0000 0.2473 0.2473
Rb 0.0000 0.7527 0.7527
Rb 0.4705 0.2205 0.2500
Rb 0.5000 0.2473 0.7473
Rb 0.5000 0.7527 0.2527
Rb 0.5295 0.7795 0.7500
Ac 0.0308 0.7808 0.2500
Ac 0.9692 0.2192 0.7500
O 0.2016 0.0000 0.7016
O 0.2016 0.5000 0.2016
O 0.2283 0.9783 0.2500
O 0.7717 0.0217 0.7500
O 0.7984 0.0000 0.2984
O 0.7984 0.5000 0.7984


2.
Diffraction record for TaIn2Mo. The X-ray diffraction stick pattern is calculated, not measured: it uses the GGA-PBE geometry in Alexandria and a wavelength of 1.5418 Å.
No peak broadening, texture or thermal motion is included.

The 6 most intense peaks (2θ = 15–90°), in order of rising 2θ:
2theta	I_rel
35.74	54.4
36.87	100.0
37.15	48.7
40.64	37.8
43.53	62.2
60.10	23.4

Atomic structure:
Cell: 5.2596 5.2596 5.2413 Å, 95.81 95.81 32.20°
Sites, in units of the cell vectors:
Ta 0.0000 0.0000 0.0000
In 0.5040 0.5040 0.5116
In 0.7485 0.7485 0.2570
Mo 0.2475 0.2475 0.7663


3.
Diffraction record for Ba3Hg2Pb4. The X-ray diffraction stick pattern is calculated, not measured: it uses the GGA-PBE geometry in Alexandria and a wavelength of 1.5418 Å.
No peak broadening, texture or thermal motion is included.

The 6 most intense peaks (2θ = 15–90°), in order of rising 2θ:
2theta	I_rel
21.98	21.8
27.70	21.4
29.17	40.7
29.44	49.1
31.12	100.0
34.62	47.3

Atomic structure:
Cell: 7.1261 7.1261 11.0486 Å, 118.66 118.66 42.64°
Sites, in units of the cell vectors:
Ba 0.0000 0.0000 0.0000
Ba 0.3138 0.3138 0.3615
Ba 0.6862 0.6862 0.6385
Hg 0.4091 0.4091 0.7351
Hg 0.5909 0.5909 0.2649
Pb 0.0134 0.0134 0.3562
Pb 0.2565 0.2565 0.9159
Pb 0.7435 0.7435 0.0841
Pb 0.9866 0.9866 0.6438